The following is a simulated PXRD pattern of BaEuW4O12. It was derived from a DFT-relaxed cell (PBE+U, Alexandria), using Cu Kα (weighted mean of Kα1 and Kα2).

Top 10 peaks for 2θ from 10° to 90°, in order of falling intensity:
- 31.48°, 2.842 Å, I = 100.0, (1 1 2)
- 31.78°, 2.816 Å, I = 48.9, (2 0 0)
- 56.43°, 1.631 Å, I = 40.0, (3 1 2)
- 22.33°, 3.982 Å, I = 34.9, (1 1 0)
- 19.18°, 4.627 Å, I = 31.1, (1 0 1)
- 45.56°, 1.991 Å, I = 29.1, (2 2 0)
- 55.86°, 1.646 Å, I = 20.6, (2 0 4)
- 65.71°, 1.421 Å, I = 18.6, (2 2 4)
- 21.91°, 4.057 Å, I = 18.3, (0 0 2)
- 44.67°, 2.029 Å, I = 15.4, (0 0 4)

```
data_BaEuW4O12
_chemical_formula_sum 'Ba1 Eu1 W4 O12'
_symmetry_space_group_name_H-M 'P 4/m m m'
_symmetry_Int_Tables_number 123
_symmetry_space_group_name_Hall '-P 4 2'
_cell_length_a 5.632
_cell_length_b 5.632
_cell_length_c 8.114
_cell_angle_alpha 90.00
_cell_angle_beta 90.00
_cell_angle_gamma 90.00
loop_
_atom_site_label
_atom_site_type_symbol
_atom_site_fract_x
_atom_site_fract_y
_atom_site_fract_z
Ba1 Ba 0.000 0.000 0.000
Eu1 Eu 0.500 0.500 0.500
W1 W 0.000 0.500 0.252
O1 O 0.000 0.500 0.000
O2 O 0.000 0.500 0.500
O3 O 0.257 0.257 0.256
```